Computed powder X-ray diffraction pattern of CaHo4S6 for copper Kα, from a cell relaxed with PBE.

The 12 most intense peaks (2θ from 10° to 90°), sorted by position:
(0 2 5), 26.30 deg, I 100.0
(1 1 3), 27.56 deg, I 31.7
(0 4 0), 27.77 deg, I 31.2
(1 1 4), 30.05 deg, I 35.5
(1 3 1), 31.48 deg, I 49.6
(1 3 2), 32.45 deg, I 61.6
(1 3 3), 34.01 deg, I 60.3
(0 2 7), 34.44 deg, I 42.7
(1 1 8), 43.77 deg, I 37.1
(0 6 4), 46.14 deg, I 55.8
(2 0 0), 46.96 deg, I 28.9
(0 6 5), 48.24 deg, I 37.8

Structure:
a b c (Å): 3.8702 12.8501 19.9398
angles (deg): 90.00 90.00 90.00
Space group Cmcm (No. 63)
Unique sites:
Ca: 0.0000 0.1568 0.2500
Ho: 0.0000 0.0939 0.6306
Ho: 0.0000 0.3627 0.5410
S: 0.0000 0.0000 0.0000
S: 0.0000 0.1872 0.7500
S: 0.0000 0.2705 0.0860
S: 0.0000 0.4550 0.6634

Computed powder X-ray diffraction pattern of Sr5Zn2Pb for copper Kα, from a cell relaxed with PBE.

The 12 most intense peaks (2θ from 10° to 90°), sorted by position:
(1 1 0), 14.71 deg, I 17.7
(1 1 2), 18.27 deg, I 43.1
(1 1 4), 26.27 deg, I 37.3
(2 1 3), 28.55 deg, I 84.1
(2 2 0), 29.66 deg, I 36.2
(2 0 4), 30.24 deg, I 100.0
(3 1 0), 33.26 deg, I 70.1
(1 1 6), 36.07 deg, I 23.8
(0 0 8), 44.15 deg, I 28.0
(3 3 4), 50.60 deg, I 28.8
(3 1 8), 56.35 deg, I 24.5
(5 1 4), 59.76 deg, I 27.4

Structure:
a b c (Å): 8.5190 8.5190 16.4217
angles (deg): 90.00 90.00 90.00
Space group I4/mcm (No. 140)
Unique sites:
Sr: 0.0000 0.0000 0.0000
Sr: 0.1773 0.3227 0.1425
Zn: 0.1070 0.3930 0.5000
Pb: 0.0000 0.0000 0.2500

Computed powder X-ray diffraction pattern of La2TbP2I2 for copper Kα, from a cell relaxed with PBE.

The 12 most intense peaks (2θ from 10° to 90°), sorted by position:
(0 0 2), 10.56 deg, I 12.7
(1 1 0), 23.80 deg, I 87.8
(1 0 5), 31.61 deg, I 100.0
(2 0 0), 33.91 deg, I 51.1
(2 1 5), 47.03 deg, I 65.9
(2 2 0), 48.71 deg, I 18.2
(3 1 0), 54.92 deg, I 18.0
(3 0 5), 59.24 deg, I 16.5
(1 1 10), 60.55 deg, I 11.4
(2 0 10), 66.00 deg, I 12.6
(3 2 5), 70.04 deg, I 19.9
(4 1 5), 80.14 deg, I 13.9

Structure:
a b c (Å): 5.2871 5.2871 16.7581
angles (deg): 90.00 90.00 90.00
Space group I4/mmm (No. 139)
Unique sites:
La: 0.0000 0.0000 0.0980
Tb: 0.0000 0.0000 0.5000
P: 0.0000 0.5000 0.0000
I: 0.0000 0.0000 0.3099

Computed powder X-ray diffraction pattern of TbHo5Tm4 for copper Kα, from a cell relaxed with PBE.

The 12 most intense peaks (2θ from 10° to 90°), sorted by position:
(3 1 0), 28.07 deg, I 67.1
(0 0 2), 28.56 deg, I 32.3
(3 0 1), 30.26 deg, I 100.0
(1 1 2), 31.26 deg, I 40.1
(2 0 2), 33.77 deg, I 24.2
(3 2 1), 35.25 deg, I 59.1
(3 3 0), 37.98 deg, I 23.1
(1 4 1), 39.68 deg, I 24.4
(1 3 2), 40.48 deg, I 36.9
(3 2 3), 55.03 deg, I 22.4
(6 1 1), 57.70 deg, I 22.5
(1 7 2), 73.11 deg, I 18.5

Structure:
a b c (Å): 10.0526 10.0526 6.2506
angles (deg): 90.00 90.00 90.00
Space group I4 (No. 79)
Unique sites:
Tb: 0.0000 0.0000 0.0000
Ho: 0.0000 0.0000 0.4572
Ho: 0.1437 0.7663 0.7281
Tm: 0.0497 0.6529 0.2288